Mg3B2PtO8: simulated powder diffraction line list (Cu Kα, 1.54184 Å), based on DFT lattice parameters and positions (GGA-PBE).

Structure:
```
data_Mg3B2PtO8
_chemical_formula_sum 'Mg6 B4 Pt2 O16'
_space_group_name_H-M_alt 'C 1 2/m 1'
_space_group_IT_number 12
_space_group_name_Hall '-C 2y'
_cell_length_a 16.7748
_cell_length_b 3.1080
_cell_length_c 5.2085
_cell_angle_alpha 90.00
_cell_angle_beta 90.25
_cell_angle_gamma 90.00
loop_
_atom_site_label
_atom_site_fract_x
_atom_site_fract_y
_atom_site_fract_z
Mg1 0.0000 0.0000 0.0000
Mg2 0.1853 0.0000 0.3340
B1 0.1503 0.5000 0.8434
Pt1 0.0000 0.5000 0.5000
O1 0.0602 0.0000 0.3390
O2 0.0640 0.5000 0.8322
O3 0.1787 0.5000 0.0847
O4 0.1916 0.5000 0.6186
```

The 10 most intense peaks (5 to 70 degrees two-theta), most intense first:
2theta  Rel. int.  index
10.55  100  2 0 0
37.32  40  3 1 -1
20.08  36  2 0 1
17.02  36  0 0 1
34.00  29  1 1 -1
21.19  27  4 0 0
29.22  21  1 1 0
32.01  19  6 0 0
27.24  17  4 0 -1
36.13  15  2 0 2

Mg3B7Os: simulated powder diffraction line list (Cu Kα, 1.54184 Å), based on DFT lattice parameters and positions (GGA-PBE).

Structure:
```
data_Mg3B7Os
_chemical_formula_sum 'Mg12 B28 Os4'
_space_group_name_H-M_alt 'C m m m'
_space_group_IT_number 65
_space_group_name_Hall '-C 2 2'
_cell_length_a 2.8867
_cell_length_b 38.2421
_cell_length_c 5.4949
_cell_angle_alpha 90.00
_cell_angle_beta 90.00
_cell_angle_gamma 90.00
loop_
_atom_site_label
_atom_site_fract_x
_atom_site_fract_y
_atom_site_fract_z
Mg1 0.0000 0.0556 0.2457
Mg2 0.0000 0.2145 0.0000
B1 0.0000 0.1149 0.1529
B2 0.0000 0.3266 0.3548
B3 0.0000 0.3788 0.3457
B4 0.0000 0.4796 0.0000
Os1 0.0000 0.3464 0.0000
```

The 10 most intense peaks (5 to 70 degrees two-theta), most intense first:
2theta  Rel. int.  index
9.25  100  0 4 0
16.13  56  0 0 1
13.89  38  0 6 0
21.35  29  0 6 1
35.17  28  1 7 0
41.21  24  0 16 1
18.62  21  0 4 1
23.26  21  0 10 0
38.91  20  1 7 1
31.78  20  1 3 0

MgBPt3: simulated powder diffraction line list (Cu Kα, 1.54184 Å), based on DFT lattice parameters and positions (GGA-PBE).

Structure:
```
data_MgBPt3
_chemical_formula_sum 'Mg4 B4 Pt12'
_space_group_name_H-M_alt 'C 1 c 1'
_space_group_IT_number 9
_space_group_name_Hall 'C -2yc'
_cell_length_a 9.7447
_cell_length_b 5.6652
_cell_length_c 5.5868
_cell_angle_alpha 90.00
_cell_angle_beta 111.35
_cell_angle_gamma 90.00
loop_
_atom_site_label
_atom_site_fract_x
_atom_site_fract_y
_atom_site_fract_z
Mg1 0.0000 0.1927 0.0000
B1 0.1853 0.2502 0.7471
Pt1 0.2375 0.0760 0.4516
Pt2 0.2572 0.4388 0.0985
Pt3 0.4769 0.1937 0.9698
```

The 10 most intense peaks (5 to 70 degrees two-theta), most intense first:
2theta  Rel. int.  index
38.10  100  2 2 -1
37.43  99  2 2 0
39.72  85  4 0 0
35.94  67  1 1 -2
34.47  66  0 0 2
27.59  63  1 1 1
42.26  57  4 0 -2
44.47  52  2 2 1
19.56  50  2 0 0
46.22  38  2 2 -2

Mg2TcB6: simulated powder diffraction line list (Cu Kα, 1.54184 Å), based on DFT lattice parameters and positions (GGA-PBE).

Structure:
```
data_Mg2TcB6
_chemical_formula_sum 'Mg8 Tc4 B24'
_space_group_name_H-M_alt 'P b a m'
_space_group_IT_number 55
_space_group_name_Hall '-P 2 2ab'
_cell_length_a 8.9658
_cell_length_b 11.0640
_cell_length_c 3.4361
_cell_angle_alpha 90.00
_cell_angle_beta 90.00
_cell_angle_gamma 90.00
loop_
_atom_site_label
_atom_site_fract_x
_atom_site_fract_y
_atom_site_fract_z
Mg1 0.0538 0.1293 0.0000
Mg2 0.1696 0.4127 0.0000
Tc1 0.1458 0.6796 0.0000
B1 0.0182 0.2882 0.5000
B2 0.0561 0.5632 0.5000
B3 0.0922 0.9748 0.5000
B4 0.1329 0.8213 0.5000
B5 0.2006 0.2404 0.5000
B6 0.2418 0.0774 0.5000
```

The 10 most intense peaks (5 to 70 degrees two-theta), most intense first:
2theta  Rel. int.  index
21.39  100  2 1 0
33.88  94  1 4 0
18.85  83  1 2 0
43.18  76  1 4 1
16.02  66  0 2 0
25.93  62  0 0 1
47.25  61  3 3 1
40.84  50  3 1 1
53.32  41  0 0 2
41.15  40  2 3 1

Mg3TcB7: simulated powder diffraction line list (Cu Kα, 1.54184 Å), based on DFT lattice parameters and positions (GGA-PBE).

Structure:
```
data_Mg3TcB7
_chemical_formula_sum 'Mg12 Tc4 B28'
_space_group_name_H-M_alt 'C m m m'
_space_group_IT_number 65
_space_group_name_Hall '-C 2 2'
_cell_length_a 2.9383
_cell_length_b 25.8961
_cell_length_c 7.6512
_cell_angle_alpha 90.00
_cell_angle_beta 90.00
_cell_angle_gamma 90.00
loop_
_atom_site_label
_atom_site_fract_x
_atom_site_fract_y
_atom_site_fract_z
Mg1 0.0000 0.0529 0.1904
Mg2 0.0000 0.3003 0.5000
Tc1 0.0000 0.1030 0.5000
B1 0.0000 0.1509 0.2281
B2 0.0000 0.3430 0.1086
B3 0.0000 0.3735 0.2981
B4 0.0000 0.4666 0.5000
```

The 10 most intense peaks (5 to 70 degrees two-theta), most intense first:
2theta  Rel. int.  index
11.57  100  0 0 1
13.68  77  0 4 0
6.83  49  0 2 0
35.15  40  0 0 3
37.09  31  1 5 1
17.95  31  0 4 1
42.54  26  1 5 2
36.64  25  0 10 1
42.14  21  0 10 2
30.62  18  1 1 0

B4Mo: simulated powder diffraction line list (Cu Kα, 1.54184 Å), based on DFT lattice parameters and positions (GGA-PBE).

Structure:
```
data_B4Mo
_chemical_formula_sum 'B8 Mo2'
_space_group_name_H-M_alt 'I m m m'
_space_group_IT_number 71
_space_group_name_Hall '-I 2 2'
_cell_length_a 2.9621
_cell_length_b 4.9785
_cell_length_c 5.7787
_cell_angle_alpha 90.00
_cell_angle_beta 90.00
_cell_angle_gamma 90.00
loop_
_atom_site_label
_atom_site_fract_x
_atom_site_fract_y
_atom_site_fract_z
B1 0.0000 0.1888 0.1538
Mo1 0.0000 0.0000 0.5000
```

The 10 most intense peaks (5 to 70 degrees two-theta), most intense first:
2theta  Rel. int.  index
23.59  100  0 1 1
35.26  52  1 1 0
50.42  36  1 2 1
47.61  32  1 1 2
34.01  30  1 0 1
30.95  23  0 0 2
48.26  19  0 2 2
50.83  17  0 1 3
57.03  16  1 0 3
57.81  12  0 3 1

Nd2Si2BMoW: simulated powder diffraction line list (Cu Kα, 1.54184 Å), based on DFT lattice parameters and positions (GGA-PBE).

Structure:
```
data_Nd2Si2BMoW
_chemical_formula_sum 'Nd4 Si4 B2 Mo2 W2'
_space_group_name_H-M_alt 'C 1 m 1'
_space_group_IT_number 8
_space_group_name_Hall 'C -2y'
_cell_length_a 11.2117
_cell_length_b 4.0495
_cell_length_c 7.2826
_cell_angle_alpha 90.00
_cell_angle_beta 125.04
_cell_angle_gamma 90.00
loop_
_atom_site_label
_atom_site_fract_x
_atom_site_fract_y
_atom_site_fract_z
Nd1 0.0000 0.0000 0.0000
Nd2 0.1552 0.0000 0.6133
Si1 0.2097 0.5000 0.9755
Si2 0.4442 0.0000 0.6360
B1 0.0784 0.5000 0.3069
Mo1 0.3619 0.0000 0.2229
W1 0.2936 0.5000 0.3876
```

The 10 most intense peaks (5 to 70 degrees two-theta), most intense first:
2theta  Rel. int.  index
33.95  100  1 1 -2
32.65  90  3 1 -1
30.65  50  2 0 1
44.76  32  0 2 0
32.80  32  4 0 -1
24.55  24  2 0 -2
39.41  24  4 0 -3
24.02  21  1 1 0
57.47  19  1 1 3
55.23  19  2 2 1

BMo2P: simulated powder diffraction line list (Cu Kα, 1.54184 Å), based on DFT lattice parameters and positions (GGA-PBE).

Structure:
```
data_BMo2P
_chemical_formula_sum 'B2 Mo4 P2'
_space_group_name_H-M_alt 'P 63/m m c'
_space_group_IT_number 194
_space_group_name_Hall '-P 6c 2c'
_cell_length_a 3.2561
_cell_length_b 3.2561
_cell_length_c 11.2930
_cell_angle_alpha 90.00
_cell_angle_beta 90.00
_cell_angle_gamma 120.00
loop_
_atom_site_label
_atom_site_fract_x
_atom_site_fract_y
_atom_site_fract_z
B1 0.0000 0.0000 0.0000
Mo1 0.3333 0.6667 0.1050
P1 0.3333 0.6667 0.7500
```

The 10 most intense peaks (5 to 70 degrees two-theta), most intense first:
2theta  Rel. int.  index
39.95  100  1 0 3
31.72  49  0 0 4
32.73  32  1 0 1
56.53  28  1 1 0
66.27  18  0 0 8
66.82  17  1 0 7
45.46  13  1 0 4
59.01  8  1 0 6
48.36  7  0 0 6
51.87  4  1 0 5

BMoPb2: simulated powder diffraction line list (Cu Kα, 1.54184 Å), based on DFT lattice parameters and positions (GGA-PBE).

Structure:
```
data_BMoPb2
_chemical_formula_sum 'B4 Mo4 Pb8'
_space_group_name_H-M_alt 'F -4 3 m'
_space_group_IT_number 216
_space_group_name_Hall 'F -4 2 3'
_cell_length_a 6.8839
_cell_length_b 6.8839
_cell_length_c 6.8839
_cell_angle_alpha 90.00
_cell_angle_beta 90.00
_cell_angle_gamma 90.00
loop_
_atom_site_label
_atom_site_fract_x
_atom_site_fract_y
_atom_site_fract_z
B1 0.0000 0.0000 0.0000
Mo1 0.2500 0.2500 0.2500
Pb1 0.0000 0.0000 0.5000
Pb2 0.2500 0.2500 0.7500
```

The 9 most intense peaks (5 to 70 degrees two-theta), most intense first:
2theta  Rel. int.  index
36.93  100  2 2 0
22.37  43  1 1 1
66.55  36  4 2 2
43.61  24  3 1 1
53.23  18  4 0 0
58.44  11  3 3 1
25.89  4  2 0 0
60.11  1  4 2 0
45.65  1  2 2 2

BMoPd2: simulated powder diffraction line list (Cu Kα, 1.54184 Å), based on DFT lattice parameters and positions (GGA-PBE).

Structure:
```
data_BMoPd2
_chemical_formula_sum 'B4 Mo4 Pd8'
_space_group_name_H-M_alt 'F -4 3 m'
_space_group_IT_number 216
_space_group_name_Hall 'F -4 2 3'
_cell_length_a 5.9798
_cell_length_b 5.9798
_cell_length_c 5.9798
_cell_angle_alpha 90.00
_cell_angle_beta 90.00
_cell_angle_gamma 90.00
loop_
_atom_site_label
_atom_site_fract_x
_atom_site_fract_y
_atom_site_fract_z
B1 0.0000 0.0000 0.0000
Mo1 0.2500 0.2500 0.2500
Pd1 0.0000 0.0000 0.5000
Pd2 0.2500 0.2500 0.7500
```

The 7 most intense peaks (5 to 70 degrees two-theta), most intense first:
2theta  Rel. int.  index
42.77  100  2 2 0
25.81  25  1 1 1
62.09  16  4 0 0
50.63  12  3 1 1
29.88  10  2 0 0
68.38  5  3 3 1
53.05  3  2 2 2